Structure and computed powder diffractogram of LiSnP2O7 (DFT lattice parameters and positions (GGA-PBE); a wavelength of 1.5418 Å).

Most intense lines, 2θ = 10–90°, by intensity:
Position (°2θ)  I (rel.)  h k l
13.96  100  0 1 -1
22.29  100  0 2 2
20.97  89  1 0 2
21.75  82  1 0 -2
29.78  42  1 -1 3
30.44  29  1 1 -3
34.07  27  2 0 0
40.38  26  2 2 2
33.56  25  1 2 4
31.68  20  0 3 1

Structural model:
```
data_LiSnP2O7
_chemical_formula_sum 'Li4 Sn4 P8 O28'
_cell_length_a 5.269
_cell_length_b 8.487
_cell_length_c 14.043
_cell_angle_alpha 75.22
_cell_angle_beta 87.54
_cell_angle_gamma 88.50
_symmetry_space_group_name_H-M 'P -1'
_symmetry_Int_Tables_number 2
_symmetry_space_group_name_Hall '-P 1'
loop_
_atom_site_label
_atom_site_type_symbol
_atom_site_fract_x
_atom_site_fract_y
_atom_site_fract_z
_atom_site_occupancy
Li1 Li 0.198 0.155 0.336 1
Li2 Li 0.251 0.217 0.831 1
Sn1 Sn 0.225 0.592 0.645 1
Sn2 Sn 0.245 0.110 0.120 1
P1 P 0.257 0.776 0.044 1
P2 P 0.274 0.287 0.514 1
P3 P 0.288 0.490 0.210 1
P4 P 0.288 0.994 0.686 1
O1 O 0.018 0.540 0.244 1
O2 O 0.030 0.200 0.948 1
O3 O 0.109 0.308 0.423 1
O4 O 0.128 0.068 0.755 1
O5 O 0.181 0.823 0.682 1
O6 O 0.196 0.399 0.579 1
O7 O 0.230 0.102 0.572 1
O8 O 0.318 0.311 0.220 1
O9 O 0.323 0.581 0.097 1
O10 O 0.359 0.802 0.938 1
O11 O 0.407 0.864 0.106 1
O12 O 0.428 0.003 0.304 1
O13 O 0.445 0.701 0.523 1
O14 O 0.499 0.451 0.732 1
```